1.
Computed powder diffractogram
Compound: Na5Bi3Au3
Radiation: a wavelength of 1.5418 Å
Structure: DFT lattice parameters and positions (GGA-PBE)
No peak broadening, texture or thermal motion is included.

Principal peaks in the range 10° ≤ 2θ ≤ 90°, by intensity:
two_theta  I_rel  (hkl)
17.82  100  1 1 0
33.15  46  2 1 1
41.53  25  1 1 2
31.12  15  3 0 0
49.80  14  3 2 1
21.07  13  1 0 1
46.10  11  4 0 1
83.71  11  6 1 2
37.19  11  0 0 2
42.16  10  3 1 1

a b c (Å): 9.9567 9.9567 4.8347
angles (deg): 90.00 90.00 120.00
Space group P-62m (No. 189)
Unique sites:
Na: 0.0000 0.2341 0.0000
Na: 0.3333 0.6667 0.0000
Bi: 0.0000 0.6297 0.0000
Au: 0.0000 0.7579 0.5000



2.
Computed powder diffractogram
Compound: Na2Bi4Au
Radiation: a wavelength of 1.5418 Å
Structure: DFT lattice parameters and positions (GGA-PBE)
No peak broadening, texture or thermal motion is included.

Principal peaks in the range 10° ≤ 2θ ≤ 90°, by intensity:
two_theta  I_rel  (hkl)
31.55  100  2 0 0
16.58  78  1 0 1
46.75  54  2 0 6
11.06  54  0 0 2
24.83  45  1 1 2
33.61  29  0 0 6
45.20  28  2 2 0
32.12  28  1 0 5
57.49  26  2 2 6
35.83  25  2 1 1

a b c (Å): 5.674 5.674 15.997
angles (deg): 90.00 90.00 90.00
Space group I4/mmm (No. 139)
Unique sites:
Na: 0.000 0.000 0.127
Bi: 0.000 0.000 0.330
Bi: 0.000 0.500 0.000
Au: 0.000 0.000 0.500



3.
Computed powder diffractogram
Compound: Na2Bi2Au3
Radiation: a wavelength of 1.5418 Å
Structure: DFT lattice parameters and positions (GGA-PBE)
No peak broadening, texture or thermal motion is included.

Principal peaks in the range 10° ≤ 2θ ≤ 90°, by intensity:
two_theta  I_rel  (hkl)
15.38  100  2 0 -1
38.03  64  1 1 2
43.01  57  5 1 -1
32.26  55  3 1 0
38.68  46  0 2 0
30.71  41  1 1 -2
32.51  38  3 1 -2
40.59  35  3 1 -3
22.41  33  1 1 -1
37.73  28  4 0 -3

a b c (Å): 12.102 4.655 7.659
angles (deg): 90.00 121.03 90.00
Space group C2/m (No. 12)
Unique sites:
Na: 0.135 0.000 0.249
Bi: 0.146 0.000 0.747
Au: 0.000 0.500 0.500
Au: 0.081 0.500 0.925



4.
Computed powder diffractogram
Compound: Na2Bi2Au
Radiation: a wavelength of 1.5418 Å
Structure: DFT lattice parameters and positions (GGA-PBE)
No peak broadening, texture or thermal motion is included.

Principal peaks in the range 10° ≤ 2θ ≤ 90°, by intensity:
two_theta  I_rel  (hkl)
20.55  100  1 1 0
35.84  88  3 1 1
23.41  60  2 0 -3
29.50  54  1 1 -3
15.39  52  2 0 -1
37.89  43  0 2 0
36.36  33  4 0 -4
42.85  33  1 1 4
21.98  30  2 0 1
43.76  27  1 1 -5

a b c (Å): 11.536 4.749 11.844
angles (deg): 90.00 115.51 90.00
Space group C2/m (No. 12)
Unique sites:
Na: 0.007 0.000 0.181
Na: 0.182 0.000 0.620
Bi: 0.031 0.500 0.388
Bi: 0.151 0.500 0.050
Au: 0.211 0.500 0.820